# 1
The following is a theoretical powder XRD pattern of MgSiPd3. It was derived from a structure optimized by DFT (GGA-PBE), using Cu Kα.

Lattice parameters (Å, degrees): 5.5087 5.5087 5.5087 79.74 79.74 79.74
Fractional coordinates of all 10 atoms:
Mg (0.2500, 0.2500, 0.2500)
Mg (0.7500, 0.7500, 0.7500)
Si (0.0000, 0.0000, 0.0000)
Si (0.5000, 0.5000, 0.5000)
Pd (0.1281, 0.7500, 0.3719)
Pd (0.2500, 0.6281, 0.8719)
Pd (0.3719, 0.1281, 0.7500)
Pd (0.6281, 0.8719, 0.2500)
Pd (0.7500, 0.3719, 0.1281)
Pd (0.8719, 0.2500, 0.6281)

Top 10 peaks for 2θ = 5–70°, sorted by position:
- d 3.531, I 17
- d 2.679, I 11
- d 2.556, I 100
- d 2.263, I 14
- d 2.056, I 11
- d 2.039, I 36
- d 1.852, I 10
- d 1.677, I 11
- d 1.594, I 15
- d 1.371, I 13

# 2
The following is a theoretical powder XRD pattern of MgSiPd2. It was derived from a structure optimized by DFT (GGA-PBE), using Cu Kα.

Lattice parameters (Å, degrees): 6.5458 7.0996 5.4780 90.00 90.00 90.00
Fractional coordinates of all 16 atoms:
Mg (0.0077, 0.2500, 0.0863)
Mg (0.4923, 0.7500, 0.5863)
Mg (0.5077, 0.2500, 0.4137)
Mg (0.9923, 0.7500, 0.9137)
Si (0.1163, 0.2500, 0.5781)
Si (0.3837, 0.7500, 0.0781)
Si (0.6163, 0.2500, 0.9219)
Si (0.8837, 0.7500, 0.4219)
Pd (0.1755, 0.5464, 0.3474)
Pd (0.1755, 0.9536, 0.3474)
Pd (0.3245, 0.0464, 0.8474)
Pd (0.3245, 0.4536, 0.8474)
Pd (0.6755, 0.5464, 0.1526)
Pd (0.6755, 0.9536, 0.1526)
Pd (0.8245, 0.0464, 0.6526)
Pd (0.8245, 0.4536, 0.6526)

Top 10 peaks for 2θ = 5–70°, sorted by position:
- d 4.337, I 26
- d 3.550, I 47
- d 2.810, I 55
- d 2.527, I 65
- d 2.406, I 38
- d 2.203, I 55
- d 2.171, I 40
- d 2.059, I 100
- d 2.027, I 31
- d 1.918, I 28

# 3
The following is a theoretical powder XRD pattern of Mg2Si2Pd7. It was derived from a structure optimized by DFT (GGA-PBE), using Cu Kα.

Lattice parameters (Å, degrees): 6.9815 6.9815 6.9815 144.16 70.99 121.00
Fractional coordinates of all 11 atoms:
Mg (0.2192, 0.0000, 0.2192)
Mg (0.7808, 0.0000, 0.7808)
Si (0.4672, 0.9672, 0.5000)
Si (0.7797, 0.7797, 0.0000)
Pd (0.0626, 0.7033, 0.3593)
Pd (0.1169, 0.1169, 0.0000)
Pd (0.3440, 0.7033, 0.6407)
Pd (0.3677, 0.4943, 0.8734)
Pd (0.6209, 0.4943, 0.1266)
Pd (0.6632, 0.2865, 0.3766)
Pd (0.9099, 0.2865, 0.6234)

Top 10 peaks for 2θ = 5–70°, sorted by position:
- d 3.643, I 18
- d 2.842, I 54
- d 2.612, I 77
- d 2.247, I 39
- d 2.241, I 76
- d 2.190, I 100
- d 2.148, I 56
- d 1.735, I 19
- d 1.714, I 14
- d 1.553, I 24

# 4
The following is a theoretical powder XRD pattern of Sm2Mg2Si4Pd. It was derived from a structure optimized by DFT (GGA-PBE), using Cu Kα.

Lattice parameters (Å, degrees): 6.2641 6.2641 6.2641 120.46 120.46 89.20
Fractional coordinates of all 9 atoms:
Sm (0.2500, 0.7500, 0.5000)
Sm (0.7500, 0.2500, 0.5000)
Mg (0.2172, 0.2172, 0.0000)
Mg (0.7828, 0.7828, 0.0000)
Si (0.2118, 0.2118, 0.4236)
Si (0.2118, 0.7882, 0.0000)
Si (0.7882, 0.2118, 0.0000)
Si (0.7882, 0.7882, 0.5764)
Pd (0.5000, 0.5000, 0.0000)

Top 10 peaks for 2θ = 5–70°, sorted by position:
- d 4.398, I 14
- d 3.132, I 100
- d 3.110, I 46
- d 2.656, I 14
- d 2.551, I 49
- d 2.230, I 22
- d 2.199, I 42
- d 1.812, I 18
- d 1.800, I 36
- d 1.566, I 27

# 5
The following is a theoretical powder XRD pattern of Th2MgSi4Pd3. It was derived from a structure optimized by DFT (GGA-PBE), using Cu Kα.

Lattice parameters (Å, degrees): 4.2451 4.2451 10.3474 90.00 90.00 90.00
Fractional coordinates of all 10 atoms:
Th (0.0000, 0.5000, 0.2393)
Th (0.5000, 0.0000, 0.7607)
Mg (0.0000, 0.0000, 0.5000)
Si (0.0000, 0.0000, 0.0000)
Si (0.0000, 0.5000, 0.6472)
Si (0.5000, 0.0000, 0.3528)
Si (0.5000, 0.5000, 0.0000)
Pd (0.0000, 0.5000, 0.8835)
Pd (0.5000, 0.0000, 0.1165)
Pd (0.5000, 0.5000, 0.5000)

Top 10 peaks for 2θ = 5–70°, sorted by position:
- d 5.174, I 17
- d 3.927, I 44
- d 3.002, I 46
- d 2.677, I 100
- d 2.596, I 88
- d 2.123, I 52
- d 1.860, I 30
- d 1.663, I 49
- d 1.501, I 17
- d 1.399, I 24

# 6
The following is a theoretical powder XRD pattern of SmMgPd14. It was derived from a structure optimized by DFT (GGA-PBE), using Cu Kα.

Lattice parameters (Å, degrees): 5.6911 5.6911 7.9842 90.00 90.00 90.00
Fractional coordinates of all 16 atoms:
Sm (0.0000, 0.0000, 0.0000)
Mg (0.5000, 0.5000, 0.0000)
Pd (0.0000, 0.0000, 0.5000)
Pd (0.0000, 0.5000, 0.0000)
Pd (0.0000, 0.5000, 0.5000)
Pd (0.2537, 0.2537, 0.2559)
Pd (0.2537, 0.2537, 0.7441)
Pd (0.2537, 0.7463, 0.2559)
Pd (0.2537, 0.7463, 0.7441)
Pd (0.5000, 0.0000, 0.0000)
Pd (0.5000, 0.0000, 0.5000)
Pd (0.5000, 0.5000, 0.5000)
Pd (0.7463, 0.2537, 0.2559)
Pd (0.7463, 0.2537, 0.7441)
Pd (0.7463, 0.7463, 0.2559)
Pd (0.7463, 0.7463, 0.7441)

Top 10 peaks for 2θ = 5–70°, sorted by position:
- d 7.984, I 1
- d 5.691, I 2
- d 4.634, I 3
- d 3.268, I 2
- d 2.425, I 1
- d 2.317, I 100
- d 2.012, I 33
- d 1.996, I 16
- d 1.423, I 10
- d 1.417, I 20